The following is a computed powder XRD pattern of Fe5SbP6O24. It was derived from a structure optimized by DFT (PBE+U), using copper Kα.

Crystal structure
```
Fe5SbP6O24
1.0
4.3369 2.5039 6.9826
-4.3369 2.5039 6.9826
0.0000 -5.0078 6.9826
Fe Sb P O
5 1 6 24
Direct
0.0000 0.0000 0.0000
0.1388 0.1388 0.1388
0.5016 0.5016 0.5016
0.6445 0.6445 0.6445
0.7881 0.7881 0.7881
0.2870 0.2870 0.2870
0.0992 0.3985 0.6895
0.1881 0.8920 0.6051
0.3985 0.6895 0.0992
0.6051 0.1881 0.8920
0.6895 0.0992 0.3985
0.8920 0.6051 0.1881
0.0306 0.8357 0.6356
0.0590 0.4017 0.2030
0.0894 0.2330 0.8800
0.1334 0.3328 0.5296
0.1479 0.9641 0.7550
0.2030 0.0590 0.4017
0.2330 0.8800 0.0894
0.2566 0.4642 0.6401
0.3328 0.5296 0.1334
0.3855 0.7376 0.5820
0.4017 0.2030 0.0590
0.4642 0.6401 0.2566
0.5296 0.1334 0.3328
0.5543 0.7028 0.9032
0.5820 0.3855 0.7376
0.6356 0.0306 0.8357
0.6401 0.2566 0.4642
0.7028 0.9032 0.5543
0.7376 0.5820 0.3855
0.7550 0.1479 0.9641
0.8357 0.6356 0.0306
0.8800 0.0894 0.2330
0.9032 0.5543 0.7028
0.9641 0.7550 0.1479
```

Largest 10 diffraction maxima, by angle, 10 to 90 degrees two-theta:
2θ/deg, I/Imax
20.5, 100
20.7, 22
24.2, 83
29.3, 15
32.9, 70
35.9, 41
47.2, 31
49.5, 26
56.1, 30
62.6, 20